Mg6ZnSi: theoretical powder diffractogram (Cu Kα (weighted mean of Kα1 and Kα2)), based on a DFT-relaxed cell (PBE, the Materials Project).

Main lines, by angle (2θ from 10° to 90°):
16.74 deg, rel. 17; 33.50 deg, rel. 20; 33.85 deg, rel. 17; 36.08 deg, rel. 36; 38.19 deg, rel. 36; 38.50 deg, rel. 100; 50.05 deg, rel. 12; 60.11 deg, rel. 14; 66.49 deg, rel. 19; 72.15 deg, rel. 16

Structure:
Unit cell a=4.979 b=6.158 c=6.158 alpha=59.34 beta=90.00 gamma=90.00
Atoms (fractional coordinates):
Mg1 0.000 0.000 0.000
Mg2 0.000 0.012 0.499
Mg3 0.000 0.499 0.012
Mg4 0.500 0.332 0.819
Mg5 0.500 0.819 0.332
Mg6 0.500 0.831 0.831
Zn1 0.000 0.513 0.513
Si1 0.500 0.325 0.325


Mg14ZnSi: theoretical powder diffractogram (Cu Kα (weighted mean of Kα1 and Kα2)), based on a DFT-relaxed cell (PBE, the Materials Project).

Main lines, by angle (2θ from 10° to 90°):
16.42 deg, rel. 7; 18.58 deg, rel. 6; 33.20 deg, rel. 24; 35.01 deg, rel. 27; 37.67 deg, rel. 100; 49.01 deg, rel. 16; 59.31 deg, rel. 17; 64.55 deg, rel. 19; 70.76 deg, rel. 19; 72.43 deg, rel. 13

Structure:
Unit cell a=6.232 b=6.232 c=10.253 alpha=90.00 beta=90.00 gamma=120.00
Atoms (fractional coordinates):
Mg1 0.000 0.000 0.249
Mg2 0.000 0.000 0.751
Mg3 0.004 0.502 0.250
Mg4 0.004 0.502 0.750
Mg5 0.333 0.166 0.500
Mg6 0.333 0.167 0.000
Mg7 0.498 0.502 0.250
Mg8 0.498 0.502 0.750
Mg9 0.498 0.996 0.250
Mg10 0.498 0.996 0.750
Mg11 0.833 0.167 0.000
Mg12 0.833 0.667 0.000
Mg13 0.834 0.166 0.500
Mg14 0.834 0.667 0.500
Zn1 0.333 0.667 0.000
Si1 0.333 0.667 0.500


Mg6ZnSi: theoretical powder diffractogram (Cu Kα (weighted mean of Kα1 and Kα2)), based on a DFT-relaxed cell (PBE, the Materials Project).

Main lines, by angle (2θ from 10° to 90°):
16.18 deg, rel. 14; 32.68 deg, rel. 26; 37.28 deg, rel. 34; 37.76 deg, rel. 100; 39.34 deg, rel. 43; 50.41 deg, rel. 15; 60.62 deg, rel. 16; 67.55 deg, rel. 17; 71.61 deg, rel. 13; 73.36 deg, rel. 17

Structure:
Unit cell a=4.823 b=6.122 c=6.122 alpha=63.52 beta=90.00 gamma=90.00
Atoms (fractional coordinates):
Mg1 0.000 0.000 0.000
Mg2 0.000 0.492 0.994
Mg3 0.000 0.500 0.500
Mg4 0.000 0.994 0.492
Mg5 0.500 0.165 0.667
Mg6 0.500 0.667 0.165
Zn1 0.500 0.164 0.164
Si1 0.500 0.665 0.665


Mg14ZnSi: theoretical powder diffractogram (Cu Kα (weighted mean of Kα1 and Kα2)), based on a DFT-relaxed cell (PBE, the Materials Project).

Main lines, by angle (2θ from 10° to 90°):
33.09 deg, rel. 24; 33.30 deg, rel. 12; 34.98 deg, rel. 40; 37.56 deg, rel. 100; 37.75 deg, rel. 49; 48.91 deg, rel. 15; 59.37 deg, rel. 16; 64.44 deg, rel. 19; 70.80 deg, rel. 18; 72.17 deg, rel. 13

Structure:
Unit cell a=10.261 b=6.227 c=6.227 alpha=60.41 beta=90.00 gamma=90.00
Atoms (fractional coordinates):
Mg1 0.000 0.000 0.000
Mg2 0.000 0.003 0.501
Mg3 0.000 0.499 0.499
Mg4 0.000 0.501 0.003
Mg5 0.250 0.666 0.666
Mg6 0.252 0.166 0.166
Mg7 0.259 0.170 0.670
Mg8 0.259 0.670 0.170
Mg9 0.500 0.499 0.998
Mg10 0.500 0.998 0.499
Mg11 0.741 0.170 0.670
Mg12 0.741 0.670 0.170
Mg13 0.748 0.166 0.166
Mg14 0.750 0.666 0.666
Zn1 0.500 0.503 0.503
Si1 0.500 0.002 0.002


Copy entry 1 word for word.
Mg6ZnSi: theoretical powder diffractogram (Cu Kα (weighted mean of Kα1 and Kα2)), based on a DFT-relaxed cell (PBE, the Materials Project).

Main lines, by angle (2θ from 10° to 90°):
16.74 deg, rel. 17; 33.50 deg, rel. 20; 33.85 deg, rel. 17; 36.08 deg, rel. 36; 38.19 deg, rel. 36; 38.50 deg, rel. 100; 50.05 deg, rel. 12; 60.11 deg, rel. 14; 66.49 deg, rel. 19; 72.15 deg, rel. 16

Structure:
Unit cell a=4.979 b=6.158 c=6.158 alpha=59.34 beta=90.00 gamma=90.00
Atoms (fractional coordinates):
Mg1 0.000 0.000 0.000
Mg2 0.000 0.012 0.499
Mg3 0.000 0.499 0.012
Mg4 0.500 0.332 0.819
Mg5 0.500 0.819 0.332
Mg6 0.500 0.831 0.831
Zn1 0.000 0.513 0.513
Si1 0.500 0.325 0.325